# 1
Starting from DFT lattice parameters and positions (PBE), the X-ray powder pattern of BaCaZr4O12 was computed for Cu Kα, 1.54184 Å.
Lines closer than 0.1° are merged.

Top 12 peaks for 2θ = 10–90°, by intensity:
2θ 30.3, 2.948 Å, I = 1000
2θ 18.5, 4.809 Å, I = 480
2θ 30.4, 2.939 Å, I = 457
2θ 53.9, 1.702 Å, I = 404
2θ 21.3, 4.175 Å, I = 375
2θ 54.1, 1.696 Å, I = 204
2θ 43.7, 2.072 Å, I = 192
2θ 43.3, 2.091 Å, I = 186
2θ 43.4, 2.084 Å, I = 185
2θ 21.4, 4.144 Å, I = 182
2θ 35.7, 2.516 Å, I = 154
2θ 48.8, 1.867 Å, I = 110

Structure:
```
BaCaZr4O12
1.0
8.2871 0.0000 0.0000
0.0000 4.1816 4.1688
0.0000 -4.1816 4.1688
Ba Ca Zr O
1 1 4 12
direct
0.0000 0.0000 0.0000
0.5000 0.4563 0.4563
0.2568 0.4904 0.9670
0.2568 0.9670 0.4904
0.7432 0.4904 0.9670
0.7432 0.9670 0.4904
0.0000 0.5031 0.9642
0.0000 0.9642 0.5031
0.2378 0.2497 0.2497
0.2484 0.2016 0.7586
0.2484 0.7586 0.2016
0.3068 0.6829 0.6829
0.5000 0.0584 0.4607
0.5000 0.4607 0.0584
0.6932 0.6829 0.6829
0.7516 0.2016 0.7586
0.7516 0.7586 0.2016
0.7622 0.2497 0.2497
```


# 2
Starting from DFT lattice parameters and positions (PBE), the X-ray powder pattern of BaCaPb was computed for Cu Kα, 1.54184 Å.
Lines closer than 0.1° are merged.

Top 12 peaks for 2θ = 10–90°, by intensity:
2θ 27.4, 3.252 Å, I = 1000
2θ 21.2, 4.183 Å, I = 546
2θ 26.5, 3.368 Å, I = 415
2θ 20.6, 4.311 Å, I = 408
2θ 31.9, 2.802 Å, I = 397
2θ 33.2, 2.697 Å, I = 372
2θ 35.2, 2.552 Å, I = 238
2θ 49.1, 1.854 Å, I = 187
2θ 37.9, 2.375 Å, I = 177
2θ 39.4, 2.287 Å, I = 168
2θ 35.6, 2.525 Å, I = 163
2θ 26.9, 3.311 Å, I = 155

Structure:
```
BaCaPb
1.0
8.9562 0.0000 0.0000
0.0000 5.3947 0.0000
0.0000 0.0000 9.8371
Ba Ca Pb
4 4 4
direct
0.0213 0.2500 0.1824
0.4787 0.7500 0.6824
0.5213 0.2500 0.3176
0.9787 0.7500 0.8176
0.1447 0.2500 0.5703
0.3553 0.7500 0.0703
0.6447 0.2500 0.9297
0.8553 0.7500 0.4297
0.2256 0.7500 0.3920
0.2744 0.2500 0.8920
0.7256 0.7500 0.1080
0.7744 0.2500 0.6080
```


# 3
Starting from DFT lattice parameters and positions (PBE), the X-ray powder pattern of BaCaSn3 was computed for Cu Kα, 1.54184 Å.
Lines closer than 0.1° are merged.

Top 12 peaks for 2θ = 10–90°, by intensity:
2θ 30.8, 2.904 Å, I = 1000
2θ 32.8, 2.732 Å, I = 977
2θ 32.9, 2.721 Å, I = 747
2θ 29.0, 3.079 Å, I = 736
2θ 28.0, 3.189 Å, I = 733
2θ 31.0, 2.881 Å, I = 602
2θ 29.9, 2.990 Å, I = 594
2θ 27.7, 3.221 Å, I = 465
2θ 18.5, 4.784 Å, I = 378
2θ 26.6, 3.356 Å, I = 350
2θ 41.6, 2.169 Å, I = 347
2θ 22.1, 4.026 Å, I = 315

Structure:
```
BaCaSn3
1.0
8.0518 -4.7837 0.0000
8.0518 4.7837 0.0000
0.0000 0.0000 17.4236
Ba Ca Sn
8 8 24
direct
0.1765 0.8235 0.9140
0.2165 0.2165 0.5000
0.2835 0.2835 0.0000
0.3235 0.6765 0.4140
0.6765 0.3235 0.5860
0.7165 0.7165 0.0000
0.7835 0.7835 0.5000
0.8235 0.1765 0.0860
0.1244 0.1441 0.2715
0.1441 0.1244 0.7285
0.3559 0.3756 0.2285
0.3756 0.3559 0.7715
0.6244 0.6441 0.2285
0.6441 0.6244 0.7715
0.8559 0.8756 0.2715
0.8756 0.8559 0.7285
0.0120 0.5412 0.8364
0.0412 0.5120 0.3364
0.0664 0.6968 0.0919
0.0663 0.9337 0.5850
0.1968 0.5664 0.5919
0.2203 0.7797 0.2193
0.2797 0.7203 0.7193
0.3032 0.9336 0.0919
0.4337 0.5663 0.0850
0.4336 0.8032 0.5919
0.4588 0.9880 0.8364
0.4880 0.9588 0.3364
0.5120 0.0412 0.6636
0.5412 0.0120 0.1636
0.5664 0.1968 0.4081
0.5663 0.4337 0.9150
0.6968 0.0664 0.9081
0.7203 0.2797 0.2807
0.7797 0.2203 0.7807
0.8032 0.4336 0.4081
0.9337 0.0663 0.4150
0.9336 0.3032 0.9081
0.9588 0.4880 0.6636
0.9880 0.4588 0.1636
```


# 4
Starting from DFT lattice parameters and positions (PBE), the X-ray powder pattern of BaCaSn was computed for Cu Kα, 1.54184 Å.
Lines closer than 0.1° are merged.

Top 12 peaks for 2θ = 10–90°, by intensity:
2θ 27.7, 3.226 Å, I = 1000
2θ 26.7, 3.339 Å, I = 566
2θ 33.7, 2.663 Å, I = 353
2θ 32.2, 2.779 Å, I = 314
2θ 21.5, 4.141 Å, I = 237
2θ 27.1, 3.293 Å, I = 182
2θ 35.4, 2.538 Å, I = 179
2θ 29.2, 3.060 Å, I = 178
2θ 31.5, 2.842 Å, I = 159
2θ 20.7, 4.285 Å, I = 157
2θ 51.4, 1.779 Å, I = 152
2θ 49.6, 1.837 Å, I = 149

Structure:
```
BaCaSn
1.0
8.9105 0.0000 0.0000
0.0000 5.3252 0.0000
0.0000 0.0000 9.7754
Ba Ca Sn
4 4 4
direct
0.0214 0.2500 0.1814
0.4786 0.7500 0.6814
0.5214 0.2500 0.3186
0.9786 0.7500 0.8186
0.1442 0.2500 0.5713
0.3558 0.7500 0.0713
0.6442 0.2500 0.9287
0.8558 0.7500 0.4287
0.2251 0.7500 0.3916
0.2749 0.2500 0.8916
0.7251 0.7500 0.1084
0.7749 0.2500 0.6084
```


# 5
Starting from DFT lattice parameters and positions (PBE), the X-ray powder pattern of BaSr2Ca was computed for Cu Kα, 1.54184 Å.
Lines closer than 0.1° are merged.

Top 12 peaks for 2θ = 10–90°, by intensity:
2θ 26.7, 3.333 Å, I = 1000
2θ 47.2, 1.925 Å, I = 411
2θ 75.5, 1.260 Å, I = 203
2θ 38.2, 2.357 Å, I = 192
2θ 62.3, 1.491 Å, I = 178
2θ 16.3, 5.443 Å, I = 132
2θ 55.1, 1.667 Å, I = 129
2θ 87.9, 1.111 Å, I = 106
2θ 31.5, 2.843 Å, I = 84
2θ 69.0, 1.361 Å, I = 44
2θ 41.8, 2.163 Å, I = 39
2θ 57.9, 1.594 Å, I = 31

Structure:
```
BaSr2Ca
1.0
9.4282 0.0000 0.0000
0.0000 9.4282 0.0000
0.0000 0.0000 9.4282
Ba Sr Ca
4 8 4
direct
0.0000 0.0000 0.0000
0.0000 0.5000 0.5000
0.5000 0.0000 0.5000
0.5000 0.5000 0.0000
0.2500 0.2500 0.2500
0.2500 0.2500 0.7500
0.2500 0.7500 0.2500
0.2500 0.7500 0.7500
0.7500 0.2500 0.2500
0.7500 0.2500 0.7500
0.7500 0.7500 0.2500
0.7500 0.7500 0.7500
0.0000 0.0000 0.5000
0.0000 0.5000 0.0000
0.5000 0.0000 0.0000
0.5000 0.5000 0.5000
```


# 6
Starting from DFT lattice parameters and positions (PBE), the X-ray powder pattern of Ba2Cd was computed for Cu Kα, 1.54184 Å.
Lines closer than 0.1° are merged.

Top 12 peaks for 2θ = 10–90°, by intensity:
2θ 27.0, 3.297 Å, I = 1000
2θ 29.3, 3.052 Å, I = 549
2θ 50.6, 1.805 Å, I = 348
2θ 35.9, 2.499 Å, I = 279
2θ 41.9, 2.158 Å, I = 205
2θ 56.7, 1.622 Å, I = 148
2θ 56.3, 1.633 Å, I = 148
2θ 11.6, 7.661 Å, I = 134
2θ 65.1, 1.432 Å, I = 101
2θ 86.1, 1.130 Å, I = 99
2θ 68.8, 1.365 Å, I = 93
2θ 87.8, 1.111 Å, I = 90

Structure:
```
Ba2Cd
1.0
4.3159 0.0000 0.0000
0.0000 4.3159 0.0000
0.0000 0.0000 15.3225
Ba Cd
4 2
direct
0.0000 0.0000 0.1327
0.0000 0.0000 0.8673
0.5000 0.5000 0.3673
0.5000 0.5000 0.6327
0.0000 0.0000 0.5000
0.5000 0.5000 0.0000
```


# 7
Starting from DFT lattice parameters and positions (PBE), the X-ray powder pattern of BaCd was computed for Cu Kα, 1.54184 Å.
Lines closer than 0.1° are merged.

Top 8 peaks for 2θ = 10–90°, by intensity:
2θ 29.5, 3.026 Å, I = 1000
2θ 52.4, 1.747 Å, I = 390
2θ 84.8, 1.144 Å, I = 197
2θ 42.2, 2.140 Å, I = 186
2θ 69.4, 1.353 Å, I = 165
2θ 61.3, 1.513 Å, I = 121
2θ 77.2, 1.235 Å, I = 41
2θ 20.8, 4.280 Å, I = 5

Structure:
```
BaCd
1.0
4.2797 0.0000 0.0000
0.0000 4.2797 0.0000
0.0000 0.0000 4.2797
Ba Cd
1 1
direct
0.0000 0.0000 0.0000
0.5000 0.5000 0.5000
```


# 8
Starting from DFT lattice parameters and positions (PBE), the X-ray powder pattern of BaCd3 was computed for Cu Kα, 1.54184 Å.
Lines closer than 0.1° are merged.

Top 12 peaks for 2θ = 10–90°, by intensity:
2θ 32.2, 2.781 Å, I = 1000
2θ 32.7, 2.739 Å, I = 477
2θ 33.7, 2.662 Å, I = 341
2θ 59.3, 1.559 Å, I = 257
2θ 27.4, 3.261 Å, I = 244
2θ 60.8, 1.523 Å, I = 145
2θ 49.1, 1.857 Å, I = 141
2θ 43.9, 2.062 Å, I = 132
2θ 27.9, 3.194 Å, I = 116
2θ 45.0, 2.013 Å, I = 111
2θ 13.6, 6.521 Å, I = 90
2θ 59.6, 1.551 Å, I = 81

Structure:
```
BaCd3
1.0
7.5840 0.0000 0.0000
0.0000 12.7754 0.0000
0.0000 0.0000 5.3242
Ba Cd
4 12
direct
0.0000 0.1672 0.2500
0.0000 0.8328 0.7500
0.5000 0.3328 0.7500
0.5000 0.6672 0.2500
0.0000 0.3599 0.7500
0.0000 0.6401 0.2500
0.2111 0.4294 0.2500
0.2111 0.5706 0.7500
0.2889 0.0706 0.7500
0.2889 0.9294 0.2500
0.5000 0.1401 0.2500
0.5000 0.8599 0.7500
0.7111 0.0706 0.7500
0.7111 0.9294 0.2500
0.7889 0.4294 0.2500
0.7889 0.5706 0.7500
```


# 9
Starting from DFT lattice parameters and positions (PBE), the X-ray powder pattern of BaCdCl4O4 was computed for Cu Kα, 1.54184 Å.
Lines closer than 0.1° are merged.

Top 12 peaks for 2θ = 10–90°, by intensity:
2θ 10.8, 8.212 Å, I = 1000
2θ 17.4, 5.101 Å, I = 702
2θ 23.1, 3.850 Å, I = 468
2θ 31.7, 2.824 Å, I = 463
2θ 32.0, 2.799 Å, I = 462
2θ 26.3, 3.382 Å, I = 449
2θ 23.6, 3.775 Å, I = 448
2θ 36.4, 2.467 Å, I = 388
2θ 31.3, 2.855 Å, I = 354
2θ 31.0, 2.882 Å, I = 203
2θ 43.0, 2.102 Å, I = 166
2θ 42.4, 2.131 Å, I = 162

Structure:
```
BaCdCl4O4
1.0
7.1716 0.0000 0.0000
-1.6296 8.6082 0.0000
-1.9516 -2.5423 8.2028
Ba Cd Cl O
2 2 8 8
direct
0.2409 0.2607 0.2612
0.7591 0.7393 0.7388
0.2549 0.9279 0.5767
0.7451 0.0721 0.4233
0.1408 0.1999 0.5644
0.1848 0.9478 0.8625
0.3181 0.6310 0.5357
0.3504 0.9472 0.3015
0.6496 0.0528 0.6985
0.6819 0.3690 0.4643
0.8152 0.0522 0.1375
0.8592 0.8001 0.4356
0.0750 0.3661 0.9181
0.0849 0.4623 0.8374
0.4621 0.6470 0.1055
0.4806 0.7069 0.9952
0.5194 0.2931 0.0048
0.5379 0.3530 0.8945
0.9151 0.5377 0.1626
0.9250 0.6339 0.0819
```


# 10
Starting from DFT lattice parameters and positions (PBE), the X-ray powder pattern of BaCdCl4O4 was computed for Cu Kα, 1.54184 Å.
Lines closer than 0.1° are merged.

Top 12 peaks for 2θ = 10–90°, by intensity:
2θ 21.6, 4.105 Å, I = 1000
2θ 19.3, 4.608 Å, I = 864
2θ 31.5, 2.839 Å, I = 820
2θ 23.2, 3.827 Å, I = 708
2θ 26.4, 3.380 Å, I = 682
2θ 10.8, 8.175 Å, I = 605
2θ 13.1, 6.751 Å, I = 567
2θ 33.7, 2.656 Å, I = 512
2θ 26.9, 3.310 Å, I = 466
2θ 28.1, 3.172 Å, I = 433
2θ 38.8, 2.324 Å, I = 396
2θ 37.2, 2.418 Å, I = 334

Structure:
```
BaCdCl4O4
1.0
7.1579 0.0000 0.0000
-1.6155 8.5674 0.0000
-1.9763 -2.4359 8.1746
Ba Cd Cl O
2 2 8 8
direct
0.2324 0.2574 0.2293
0.7676 0.7426 0.7707
0.0801 0.7547 0.4262
0.9199 0.2453 0.5738
0.0369 0.8164 0.1255
0.0677 0.6435 0.7031
0.1992 0.1524 0.5496
0.3599 0.6865 0.4379
0.6401 0.3135 0.5621
0.8008 0.8476 0.4504
0.9323 0.3565 0.2969
0.9631 0.1836 0.8745
0.3450 0.5994 0.9689
0.3985 0.0496 0.8525
0.4192 0.5750 0.8663
0.4986 0.9845 0.2168
0.5014 0.0155 0.7832
0.5808 0.4250 0.1337
0.6015 0.9504 0.1475
0.6550 0.4006 0.0311
```